Entry 1:
This entry pairs a crystal structure of Ac3Tl4Ag4 with its simulated powder X-ray diffraction pattern. Radiation: Cu Kα (weighted mean of Kα1 and Kα2). Structure: a DFT-relaxed cell (PBE, Alexandria).
Lines closer than 0.1° are merged.

Top 8 peaks for 5 to 70 degrees two-theta, in order of rising 2θ:
| two_theta | I_rel |
| --- | --- |
| 30.09 | 41 |
| 30.76 | 100 |
| 35.55 | 32 |
| 36.48 | 49 |
| 45.36 | 16 |
| 47.25 | 24 |
| 58.92 | 15 |
| 60.89 | 15 |

Atomic structure:
```
Ac3Tl4Ag4
1.0
3.9990 0.0000 0.0000
0.0002 5.0502 0.0000
1.9805 2.5020 15.5171
Ac Tl Ag
3 4 4
direct
0.0000 0.0000 0.0000
0.1434 0.6413 0.7165
0.8566 0.3587 0.2835
0.2604 0.2607 0.4795
0.4048 0.9067 0.1868
0.5952 0.0933 0.8132
0.7396 0.7393 0.5205
0.3120 0.8149 0.3717
0.4545 0.4541 0.0915
0.5455 0.5459 0.9085
0.6880 0.1851 0.6283
```

=====

Entry 2:
This entry pairs a crystal structure of Sn3AsSe with its simulated powder X-ray diffraction pattern. Radiation: Cu Kα (weighted mean of Kα1 and Kα2). Structure: a DFT-relaxed cell (PBE, Alexandria).
Lines closer than 0.1° are merged.

Top 8 peaks for 5 to 70 degrees two-theta, in order of rising 2θ:
| two_theta | I_rel |
| --- | --- |
| 18.15 | 73 |
| 23.61 | 92 |
| 25.66 | 45 |
| 29.24 | 41 |
| 32.79 | 55 |
| 33.95 | 100 |
| 42.29 | 52 |
| 46.04 | 66 |

Atomic structure:
```
Sn3AsSe
1.0
4.4196 -8.4077 0.0000
4.4196 8.4077 0.0000
-3.0805 0.0000 8.4370
Sn As Se
12 4 4
direct
0.0395 0.5950 0.3692
0.0688 0.9088 0.9237
0.0912 0.9312 0.5763
0.3071 0.4047 0.4931
0.4047 0.3071 0.9931
0.4050 0.9605 0.1308
0.5950 0.0395 0.8692
0.5953 0.6929 0.0069
0.6929 0.5953 0.5069
0.9088 0.0688 0.4237
0.9312 0.0912 0.0763
0.9605 0.4050 0.6308
0.2159 0.4886 0.2341
0.4886 0.2159 0.7341
0.5114 0.7841 0.2659
0.7841 0.5114 0.7659
0.1225 0.8775 0.2500
0.3474 0.6526 0.7500
0.6526 0.3474 0.2500
0.8775 0.1225 0.7500
```